Record 1
VSbPd5: computed powder XRD pattern (λ = 1.5418 Å (Cu Kα)), based on a GGA-PBE-relaxed structure.

Structure:
a b c (Å): 4.605 4.605 5.634
angles (deg): 90.00 90.00 90.00
Positions (direct):
V 0.000 0.000 0.000
Sb 0.500 0.500 0.500
Pd 0.000 0.000 0.500
Pd 0.000 0.500 0.237
Pd 0.000 0.500 0.763
Pd 0.500 0.000 0.237
Pd 0.500 0.000 0.763

Peak list (10 most intense, 10° ≤ 2θ ≤ 90°, low angle first)
15.73 deg, intensity 12; 27.39 deg, intensity 8; 31.74 deg, intensity 22; 39.12 deg, intensity 62; 42.43 deg, intensity 100; 56.52 deg, intensity 21; 66.33 deg, intensity 12; 73.16 deg, intensity 37; 79.82 deg, intensity 14; 84.07 deg, intensity 7



Record 2
PmCd4Pb: computed powder XRD pattern (λ = 1.5418 Å (Cu Kα)), based on a GGA-PBE-relaxed structure.

Structure:
a b c (Å): 9.569 9.569 5.126
angles (deg): 90.00 90.00 139.56
Positions (direct):
Pm 0.121 0.879 0.750
Pm 0.879 0.121 0.250
Cd 0.036 0.455 0.750
Cd 0.198 0.283 0.750
Cd 0.283 0.198 0.250
Cd 0.455 0.036 0.250
Cd 0.545 0.964 0.750
Cd 0.717 0.802 0.750
Cd 0.802 0.717 0.250
Cd 0.964 0.545 0.250
Pb 0.379 0.621 0.250
Pb 0.621 0.379 0.750

Peak list (10 most intense, 10° ≤ 2θ ≤ 90°, low angle first)
33.66 deg, intensity 50; 33.76 deg, intensity 100; 34.71 deg, intensity 90; 35.01 deg, intensity 44; 49.05 deg, intensity 17; 49.35 deg, intensity 34; 61.48 deg, intensity 17; 61.67 deg, intensity 17; 62.00 deg, intensity 25; 67.21 deg, intensity 25



Record 3
Ir2RhSe6: computed powder XRD pattern (λ = 1.5418 Å (Cu Kα)), based on a GGA-PBE-relaxed structure.

Structure:
a b c (Å): 5.691 5.691 11.801
angles (deg): 90.00 90.00 90.00
Positions (direct):
Ir 0.000 0.000 0.166
Ir 0.000 0.000 0.834
Ir 0.500 0.500 0.334
Ir 0.500 0.500 0.666
Rh 0.000 0.000 0.500
Rh 0.500 0.500 0.000
Se 0.192 0.192 0.000
Se 0.192 0.192 0.333
Se 0.192 0.192 0.667
Se 0.308 0.692 0.167
Se 0.308 0.692 0.500
Se 0.308 0.692 0.833
Se 0.692 0.308 0.167
Se 0.692 0.308 0.500
Se 0.692 0.308 0.833
Se 0.808 0.808 0.000
Se 0.808 0.808 0.333
Se 0.808 0.808 0.667

Peak list (10 most intense, 10° ≤ 2θ ≤ 90°, low angle first)
22.09 deg, intensity 100; 27.57 deg, intensity 38; 31.81 deg, intensity 47; 35.26 deg, intensity 18; 42.29 deg, intensity 92; 45.05 deg, intensity 29; 46.15 deg, intensity 22; 51.73 deg, intensity 21; 53.64 deg, intensity 51; 66.48 deg, intensity 19



Record 4
LiThZn11: computed powder XRD pattern (λ = 1.5418 Å (Cu Kα)), based on a GGA-PBE-relaxed structure.

Structure:
a b c (Å): 6.820 6.820 6.831
angles (deg): 98.43 98.43 134.59
Positions (direct):
Li 0.000 0.000 0.000
Th 0.500 0.500 0.500
Zn 0.000 0.500 0.500
Zn 0.001 0.783 0.277
Zn 0.135 0.487 0.143
Zn 0.217 0.999 0.723
Zn 0.487 0.135 0.143
Zn 0.500 0.000 0.500
Zn 0.500 0.500 0.000
Zn 0.513 0.865 0.857
Zn 0.783 0.001 0.277
Zn 0.865 0.513 0.857
Zn 0.999 0.217 0.723

Peak list (10 most intense, 10° ≤ 2θ ≤ 90°, low angle first)
28.10 deg, intensity 60; 31.76 deg, intensity 27; 34.06 deg, intensity 34; 34.59 deg, intensity 26; 34.72 deg, intensity 49; 39.69 deg, intensity 46; 39.84 deg, intensity 39; 40.13 deg, intensity 48; 40.34 deg, intensity 100; 40.46 deg, intensity 66



Record 5
Na4SrI6: computed powder XRD pattern (λ = 1.5418 Å (Cu Kα)), based on a GGA-PBE-relaxed structure.

Structure:
a b c (Å): 7.968 7.968 23.437
angles (deg): 90.00 90.00 146.74
Positions (direct):
Na 0.097 0.903 0.625
Na 0.097 0.903 0.875
Na 0.360 0.640 0.539
Na 0.360 0.640 0.961
Na 0.640 0.360 0.039
Na 0.640 0.360 0.461
Na 0.903 0.097 0.125
Na 0.903 0.097 0.375
Sr 0.153 0.847 0.250
Sr 0.847 0.153 0.750
I 0.000 0.000 0.000
I 0.000 0.000 0.500
I 0.190 0.810 0.750
I 0.271 0.729 0.087
I 0.271 0.729 0.413
I 0.449 0.551 0.664
I 0.449 0.551 0.836
I 0.551 0.449 0.164
I 0.551 0.449 0.336
I 0.729 0.271 0.587
I 0.729 0.271 0.913
I 0.810 0.190 0.250

Peak list (10 most intense, 10° ≤ 2θ ≤ 90°, low angle first)
23.32 deg, intensity 42; 25.43 deg, intensity 43; 25.62 deg, intensity 100; 26.52 deg, intensity 26; 27.34 deg, intensity 81; 28.66 deg, intensity 43; 38.62 deg, intensity 39; 39.52 deg, intensity 29; 40.32 deg, intensity 30; 47.69 deg, intensity 36



Record 6
Ca3Sn8Pd3: computed powder XRD pattern (λ = 1.5418 Å (Cu Kα)), based on a GGA-PBE-relaxed structure.

Structure:
a b c (Å): 8.751 8.751 10.002
angles (deg): 124.62 124.62 33.77
Positions (direct):
Ca 0.000 0.000 0.000
Ca 0.285 0.285 0.301
Ca 0.715 0.715 0.699
Sn 0.142 0.142 0.854
Sn 0.145 0.145 0.430
Sn 0.351 0.351 0.953
Sn 0.495 0.495 0.335
Sn 0.505 0.505 0.665
Sn 0.649 0.649 0.047
Sn 0.855 0.855 0.570
Sn 0.858 0.858 0.146
Pd 0.000 0.000 0.500
Pd 0.350 0.350 0.685
Pd 0.650 0.650 0.315

Peak list (10 most intense, 10° ≤ 2θ ≤ 90°, low angle first)
31.99 deg, intensity 71; 32.10 deg, intensity 96; 33.14 deg, intensity 50; 34.80 deg, intensity 69; 35.31 deg, intensity 100; 40.15 deg, intensity 39; 40.79 deg, intensity 68; 41.98 deg, intensity 38; 42.15 deg, intensity 48; 54.51 deg, intensity 41



Record 7
Sm5Er2Th: computed powder XRD pattern (λ = 1.5418 Å (Cu Kα)), based on a GGA-PBE-relaxed structure.

Structure:
a b c (Å): 7.180 14.371 5.077
angles (deg): 90.00 90.00 90.00
Positions (direct):
Sm 0.000 0.000 0.000
Sm 0.006 0.251 0.000
Sm 0.248 0.376 0.500
Sm 0.252 0.876 0.500
Sm 0.494 0.751 0.000
Sm 0.500 0.500 0.000
Sm 0.506 0.249 0.000
Sm 0.748 0.124 0.500
Sm 0.752 0.624 0.500
Sm 0.994 0.749 0.000
Er 0.241 0.623 0.500
Er 0.259 0.123 0.500
Er 0.741 0.877 0.500
Er 0.759 0.377 0.500
Th 0.000 0.500 0.000
Th 0.500 0.000 0.000

Peak list (10 most intense, 10° ≤ 2θ ≤ 90°, low angle first)
12.32 deg, intensity 1; 13.79 deg, intensity 1; 30.49 deg, intensity 100; 35.35 deg, intensity 51; 50.85 deg, intensity 36; 60.46 deg, intensity 43; 63.45 deg, intensity 12; 74.78 deg, intensity 6; 82.86 deg, intensity 18; 85.51 deg, intensity 16



Record 8
LiPm4Te6: computed powder XRD pattern (λ = 1.5418 Å (Cu Kα)), based on a GGA-PBE-relaxed structure.

Structure:
a b c (Å): 8.720 8.720 8.720
angles (deg): 90.98 90.98 90.98
Positions (direct):
Li 0.000 0.000 0.000
Li 0.500 0.500 0.500
Pm 0.142 0.750 0.358
Pm 0.250 0.250 0.250
Pm 0.250 0.642 0.858
Pm 0.358 0.142 0.750
Pm 0.642 0.858 0.250
Pm 0.750 0.358 0.142
Pm 0.750 0.750 0.750
Pm 0.858 0.250 0.642
Te 0.060 0.918 0.682
Te 0.082 0.318 0.940
Te 0.182 0.418 0.560
Te 0.318 0.940 0.082
Te 0.418 0.560 0.182
Te 0.440 0.818 0.582
Te 0.560 0.182 0.418
Te 0.582 0.440 0.818
Te 0.682 0.060 0.918
Te 0.818 0.582 0.440
Te 0.918 0.682 0.060
Te 0.940 0.082 0.318

Peak list (10 most intense, 10° ≤ 2θ ≤ 90°, low angle first)
24.95 deg, intensity 41; 25.39 deg, intensity 24; 29.23 deg, intensity 28; 30.52 deg, intensity 100; 32.65 deg, intensity 49; 34.05 deg, intensity 92; 36.31 deg, intensity 22; 37.49 deg, intensity 25; 38.39 deg, intensity 22; 61.55 deg, intensity 34



Record 9
K5SrI7: computed powder XRD pattern (λ = 1.5418 Å (Cu Kα)), based on a GGA-PBE-relaxed structure.

Structure:
a b c (Å): 8.822 8.822 29.419
angles (deg): 90.02 90.02 31.40
Positions (direct):
K 0.000 0.000 0.000
K 0.070 0.070 0.500
K 0.097 0.097 0.700
K 0.239 0.239 0.276
K 0.272 0.272 0.922
K 0.516 0.516 0.353
K 0.554 0.554 0.853
K 0.798 0.798 0.422
K 0.831 0.831 0.776
K 0.973 0.973 0.200
Sr 0.331 0.331 0.589
Sr 0.740 0.740 0.089
I 0.104 0.104 0.101
I 0.154 0.154 0.390
I 0.190 0.190 0.813
I 0.323 0.323 0.165
I 0.348 0.348 0.032
I 0.424 0.424 0.473
I 0.469 0.469 0.744
I 0.601 0.601 0.244
I 0.646 0.646 0.973
I 0.722 0.722 0.532
I 0.747 0.747 0.665
I 0.880 0.880 0.313
I 0.915 0.915 0.890
I 0.966 0.966 0.602

Peak list (10 most intense, 10° ≤ 2θ ≤ 90°, low angle first)
22.81 deg, intensity 34; 23.62 deg, intensity 100; 25.14 deg, intensity 90; 26.05 deg, intensity 74; 33.64 deg, intensity 36; 35.18 deg, intensity 30; 35.85 deg, intensity 29; 36.25 deg, intensity 30; 37.68 deg, intensity 37; 44.95 deg, intensity 36



Record 10
Zr3Br5: computed powder XRD pattern (λ = 1.5418 Å (Cu Kα)), based on a GGA-PBE-relaxed structure.

Structure:
a b c (Å): 7.138 8.555 9.322
angles (deg): 113.87 90.02 114.61
Positions (direct):
Zr 0.000 0.000 0.000
Zr 0.056 0.649 0.880
Zr 0.393 0.325 0.276
Zr 0.462 0.000 0.000
Zr 0.552 0.641 0.881
Zr 0.896 0.329 0.270
Br 0.179 0.895 0.734
Br 0.201 0.940 0.213
Br 0.294 0.622 0.372
Br 0.406 0.349 0.583
Br 0.422 0.382 0.998
Br 0.683 0.904 0.757
Br 0.703 0.944 0.191
Br 0.790 0.622 0.372
Br 0.906 0.350 0.574
Br 0.926 0.390 0.995

Peak list (10 most intense, 10° ≤ 2θ ≤ 90°, low angle first)
10.60 deg, intensity 73; 12.41 deg, intensity 100; 24.95 deg, intensity 90; 29.45 deg, intensity 38; 31.75 deg, intensity 40; 32.13 deg, intensity 82; 36.03 deg, intensity 62; 38.79 deg, intensity 44; 39.16 deg, intensity 40; 51.20 deg, intensity 47



Record 11
NaSr2DyF8: computed powder XRD pattern (λ = 1.5418 Å (Cu Kα)), based on a GGA-PBE-relaxed structure.

Structure:
a b c (Å): 6.965 6.965 6.965
angles (deg): 131.93 131.93 70.33
Positions (direct):
Na 0.000 0.000 0.000
Sr 0.250 0.750 0.500
Sr 0.500 0.500 0.000
Dy 0.750 0.250 0.500
F 0.104 0.133 0.501
F 0.104 0.603 0.971
F 0.397 0.368 0.501
F 0.397 0.896 0.029
F 0.632 0.133 0.029
F 0.632 0.603 0.499
F 0.867 0.368 0.971
F 0.867 0.896 0.499

Peak list (10 most intense, 10° ≤ 2θ ≤ 90°, low angle first)
15.56 deg, intensity 16; 17.46 deg, intensity 24; 22.16 deg, intensity 12; 27.19 deg, intensity 100; 31.54 deg, intensity 11; 45.15 deg, intensity 73; 53.40 deg, intensity 15; 53.55 deg, intensity 30; 72.50 deg, intensity 12; 83.41 deg, intensity 14



Record 12
CrGaAs: computed powder XRD pattern (λ = 1.5418 Å (Cu Kα)), based on a GGA-PBE-relaxed structure.

Structure:
a b c (Å): 5.727 2.986 5.660
angles (deg): 90.00 90.00 90.00
Positions (direct):
Cr 0.000 0.000 0.000
Cr 0.500 0.000 0.000
Ga 0.250 0.500 0.293
Ga 0.750 0.500 0.707
As 0.250 0.500 0.739
As 0.750 0.500 0.261

Peak list (10 most intense, 10° ≤ 2θ ≤ 90°, low angle first)
29.92 deg, intensity 32; 31.24 deg, intensity 29; 31.62 deg, intensity 22; 33.94 deg, intensity 31; 35.12 deg, intensity 28; 43.80 deg, intensity 100; 44.09 deg, intensity 88; 45.04 deg, intensity 82; 80.02 deg, intensity 28; 82.04 deg, intensity 26